1.
BaIn2AgI5: theoretical powder diffraction line list (Cu Kα (weighted mean of Kα1 and Kα2)), based on a DFT-relaxed cell (GGA-PBE, Alexandria).

Top 8 peaks for 10 to 80 degrees two-theta, in order of rising 2θ:
2theta  d [Å]  I/Imax
22.15  4.014  13
24.48  3.636  17
25.83  3.450  100
26.06  3.420  45
30.46  2.935  56
36.94  2.434  44
40.62  2.221  14
45.76  1.983  19

```
BaIn2AgI5
1.0
2.4339 -10.5330 0.0000
2.4339 10.5330 0.0000
0.0000 0.0000 15.0815
Ba In Ag I
2 4 2 10
Cartesian
2.4339 6.4239 7.5408 Ba
2.4339 -6.4239 0.0000 Ba
2.4339 8.5215 2.0290 In
2.4339 8.1703 12.1977 In
2.4339 -8.1703 4.6569 In
2.4339 -8.5215 9.5697 In
2.4339 1.2365 13.3402 Ag
2.4339 -1.2365 5.7995 Ag
2.4339 9.9249 7.2400 I
2.4339 4.2986 2.4020 I
2.4339 4.0207 12.6330 I
2.4339 2.9711 7.2038 I
2.4339 0.1634 3.3385 I
2.4339 -0.1634 10.8793 I
2.4339 -2.9711 14.7446 I
2.4339 -4.0207 5.0923 I
2.4339 -4.2986 9.9427 I
2.4339 -9.9249 14.7807 I
```



2.
Ba4InAgI2: theoretical powder diffraction line list (Cu Kα (weighted mean of Kα1 and Kα2)), based on a DFT-relaxed cell (GGA-PBE, Alexandria).

Top 8 peaks for 10 to 80 degrees two-theta, in order of rising 2θ:
2theta  d [Å]  I/Imax
24.82  3.587  50
25.00  3.562  100
33.59  2.668  22
34.25  2.618  41
36.75  2.446  37
37.61  2.392  17
45.58  1.990  19
51.30  1.781  13

```
Ba4InAgI2
1.0
8.5382 0.0000 0.0000
0.0000 4.7837 0.0000
-2.7237 0.0000 9.0137
Ba In Ag I
4 1 1 2
Cartesian
1.4622 0.0000 1.9910 Ba
0.0540 2.3918 6.9468 Ba
5.7605 2.3918 2.0669 Ba
4.3523 0.0000 7.0227 Ba
4.2691 0.0000 0.0000 In
0.0000 2.3918 0.0000 Ag
-1.3618 0.0000 4.5069 I
2.9072 2.3918 4.5069 I
```



3.
Ba2LiAgI6: theoretical powder diffraction line list (Cu Kα (weighted mean of Kα1 and Kα2)), based on a DFT-relaxed cell (GGA-PBE, Alexandria).

Top 8 peaks for 10 to 80 degrees two-theta, in order of rising 2θ:
2theta  d [Å]  I/Imax
24.40  3.647  63
25.62  3.476  59
26.25  3.395  100
26.49  3.364  58
28.04  3.182  62
31.37  2.851  61
32.13  2.786  55
32.29  2.772  83

```
Ba2LiAgI6
1.0
7.8013 0.0000 0.0000
0.0000 8.8967 0.0000
-7.7139 0.0000 11.1447
Ba Li Ag I
4 2 2 12
Cartesian
-0.3175 1.0017 2.7879 Ba
-4.1744 3.4466 8.3603 Ba
4.2618 5.4501 2.7844 Ba
0.4048 7.8950 8.3568 Ba
3.9007 0.0000 0.0000 Li
0.0437 4.4484 5.5723 Li
-3.8570 0.0000 5.5723 Ag
0.0000 4.4484 0.0000 Ag
-6.3108 1.5317 10.5471 I
-2.4538 2.9167 4.9748 I
-5.1477 6.0756 10.5266 I
-1.2907 7.2695 4.9543 I
-2.9174 0.1975 8.3587 I
0.9396 4.2509 2.7864 I
-0.8522 4.6459 8.3583 I
3.0048 8.6992 2.7860 I
1.3781 1.6272 6.1904 I
5.2351 2.8212 0.6181 I
2.5412 5.9800 6.1699 I
6.3982 7.3651 0.5976 I
```